Computed X-ray powder pattern
Compound: DyThB12
Radiation: a wavelength of 1.5418 Å
Structure: a cell relaxed with GGA-PBE
Neutral-atom scattering factors, no anomalous dispersion.

Crystal structure
Cell lengths 4.103, 4.103, 8.211 Å; angles 90.00, 90.00, 90.00 degrees
Space group P4/mmm (No. 123)
Symmetry-distinct sites (fractional):
Dy 0.000 0.000 0.000 (multiplicity 1)
Th 0.000 0.000 0.500 (multiplicity 1)
B 0.198 0.500 0.249 (multiplicity 8)
B 0.500 0.500 0.099 (multiplicity 2)
B 0.500 0.500 0.401 (multiplicity 2)

The 10 most intense peaks (2θ from 10° to 90°), by angle:
- 4.104 Å, rel. 76, (1 0 0)
- 2.902 Å, rel. 100, (1 1 0)
- 2.369 Å, rel. 42, (1 1 2)
- 2.052 Å, rel. 21, (2 0 0)
- 1.835 Å, rel. 52, (2 1 0)
- 1.675 Å, rel. 31, (2 1 2)
- 1.368 Å, rel. 28, (2 2 2)
- 1.298 Å, rel. 20, (3 1 0)
- 1.237 Å, rel. 14, (3 1 2)
- 1.097 Å, rel. 20, (3 2 2)

=====

Computed X-ray powder pattern
Compound: DyTiB4
Radiation: a wavelength of 1.5418 Å
Structure: a cell relaxed with GGA-PBE
Neutral-atom scattering factors, no anomalous dispersion.

Crystal structure
Cell lengths 6.066, 11.741, 3.569 Å; angles 90.00, 90.00, 90.00 degrees
Space group Pbam (No. 55)
Symmetry-distinct sites (fractional):
Dy 0.126 0.152 0.000 (multiplicity 4)
Ti 0.132 0.414 0.000 (multiplicity 4)
B 0.021 0.694 0.500 (multiplicity 4)
B 0.114 0.547 0.500 (multiplicity 4)
B 0.132 0.968 0.500 (multiplicity 4)
B 0.206 0.814 0.500 (multiplicity 4)

The 10 most intense peaks (2θ from 10° to 90°), by angle:
- 4.219 Å, rel. 32, (1 2 0)
- 3.569 Å, rel. 63, (0 0 1)
- 3.289 Å, rel. 35, (1 3 0)
- 2.936 Å, rel. 80, (2 1 0)
- 2.725 Å, rel. 28, (1 2 1)
- 2.419 Å, rel. 38, (1 3 1)
- 2.268 Å, rel. 100, (2 1 1)
- 2.124 Å, rel. 23, (1 4 1)
- 1.990 Å, rel. 18, (2 3 1)
- 1.525 Å, rel. 23, (2 1 2)

=====

Computed X-ray powder pattern
Compound: DyUB
Radiation: a wavelength of 1.5418 Å
Structure: a cell relaxed with GGA-PBE
Neutral-atom scattering factors, no anomalous dispersion.

Crystal structure
Cell lengths 3.196, 4.890, 15.136 Å; angles 90.00, 90.00, 90.00 degrees
Space group Immm (No. 71)
Symmetry-distinct sites (fractional):
Dy 0.000 0.000 0.181 (multiplicity 4)
U 0.000 0.251 0.500 (multiplicity 4)
B 0.000 0.000 0.355 (multiplicity 4)

The 10 most intense peaks (2θ from 10° to 90°), by angle:
- 7.568 Å, rel. 57, (0 0 2)
- 3.784 Å, rel. 31, (0 0 4)
- 3.511 Å, rel. 30, (0 1 3)
- 3.127 Å, rel. 28, (1 0 1)
- 2.700 Å, rel. 100, (1 0 3)
- 2.523 Å, rel. 54, (0 0 6)
- 2.327 Å, rel. 52, (0 2 2)
- 2.054 Å, rel. 22, (0 2 4)
- 1.926 Å, rel. 46, (1 2 1)
- 1.635 Å, rel. 42, (1 2 5)

=====

Computed X-ray powder pattern
Compound: Dy2YB6
Radiation: a wavelength of 1.5418 Å
Structure: a cell relaxed with GGA-PBE
Neutral-atom scattering factors, no anomalous dispersion.

Crystal structure
Cell lengths 5.6983, 5.6983, 3.8819 Å; angles 90.00, 90.00, 120.00 degrees
Space group P6/mmm (No. 191)
Symmetry-distinct sites (fractional):
Dy 0.3333 0.6667 0.0000 (multiplicity 2)
Y 0.0000 0.0000 0.0000 (multiplicity 1)
B 0.0000 0.3336 0.5000 (multiplicity 6)

The 10 most intense peaks (2θ from 10° to 90°), by angle:
- 3.882 Å, rel. 45, (0 0 1)
- 2.849 Å, rel. 72, (1 1 0)
- 2.297 Å, rel. 100, (1 1 1)
- 1.941 Å, rel. 11, (0 0 2)
- 1.645 Å, rel. 19, (3 0 0)
- 1.604 Å, rel. 27, (1 1 2)
- 1.515 Å, rel. 20, (3 0 1)
- 1.337 Å, rel. 17, (2 2 1)
- 1.255 Å, rel. 15, (3 0 2)
- 1.178 Å, rel. 12, (1 1 3)

=====

Computed X-ray powder pattern
Compound: ErB2
Radiation: a wavelength of 1.5418 Å
Structure: a cell relaxed with GGA-PBE
Neutral-atom scattering factors, no anomalous dispersion.

Crystal structure
Cell lengths 3.2715, 3.2715, 3.8062 Å; angles 90.00, 90.00, 120.00 degrees
Space group P6/mmm (No. 191)
Symmetry-distinct sites (fractional):
Er 0.0000 0.0000 0.0000 (multiplicity 1)
B 0.3333 0.6667 0.5000 (multiplicity 2)

The 10 most intense peaks (2θ from 10° to 90°), by angle:
- 3.806 Å, rel. 47, (0 0 1)
- 2.833 Å, rel. 76, (1 0 0)
- 2.273 Å, rel. 100, (1 0 1)
- 1.903 Å, rel. 11, (0 0 2)
- 1.636 Å, rel. 19, (1 1 0)
- 1.580 Å, rel. 27, (1 0 2)
- 1.503 Å, rel. 21, (1 1 1)
- 1.328 Å, rel. 18, (2 0 1)
- 1.240 Å, rel. 16, (1 1 2)
- 1.158 Å, rel. 12, (1 0 3)

=====

Computed X-ray powder pattern
Compound: ErBF
Radiation: a wavelength of 1.5418 Å
Structure: a cell relaxed with GGA-PBE
Neutral-atom scattering factors, no anomalous dispersion.

Crystal structure
Cell lengths 3.756, 12.500, 3.310 Å; angles 90.00, 90.00, 90.00 degrees
Space group Cmcm (No. 63)
Symmetry-distinct sites (fractional):
Er 0.000 0.123 0.250 (multiplicity 4)
B 0.000 0.480 0.250 (multiplicity 4)
F 0.000 0.254 0.750 (multiplicity 4)

The 10 most intense peaks (2θ from 10° to 90°), by angle:
- 3.597 Å, rel. 74, (1 1 0)
- 3.125 Å, rel. 41, (0 4 0)
- 2.925 Å, rel. 100, (0 2 1)
- 2.790 Å, rel. 47, (1 3 0)
- 2.436 Å, rel. 42, (1 1 1)
- 2.133 Å, rel. 62, (1 3 1)
- 2.081 Å, rel. 25, (1 5 0)
- 1.878 Å, rel. 19, (2 0 0)
- 1.762 Å, rel. 50, (0 6 1)
- 1.580 Å, rel. 32, (2 2 1)

=====

Computed X-ray powder pattern
Compound: ErFeB4
Radiation: a wavelength of 1.5418 Å
Structure: a cell relaxed with GGA-PBE
Neutral-atom scattering factors, no anomalous dispersion.

Crystal structure
Cell lengths 5.865, 11.343, 3.352 Å; angles 90.00, 90.00, 90.00 degrees
Space group Pbam (No. 55)
Symmetry-distinct sites (fractional):
Er 0.127 0.150 0.000 (multiplicity 4)
Fe 0.133 0.411 0.000 (multiplicity 4)
B 0.024 0.691 0.500 (multiplicity 4)
B 0.112 0.546 0.500 (multiplicity 4)
B 0.138 0.968 0.500 (multiplicity 4)
B 0.217 0.816 0.500 (multiplicity 4)

The 10 most intense peaks (2θ from 10° to 90°), by angle:
- 4.077 Å, rel. 26, (1 2 0)
- 3.352 Å, rel. 65, (0 0 1)
- 3.178 Å, rel. 31, (1 3 0)
- 2.838 Å, rel. 87, (0 4 0)
- 2.589 Å, rel. 22, (1 2 1)
- 2.306 Å, rel. 33, (1 3 1)
- 2.166 Å, rel. 100, (0 4 1)
- 2.031 Å, rel. 22, (1 4 1)
- 1.906 Å, rel. 20, (2 3 1)
- 1.443 Å, rel. 22, (0 4 2)

=====

Computed X-ray powder pattern
Compound: ErFe7B3
Radiation: a wavelength of 1.5418 Å
Structure: a cell relaxed with GGA-PBE
Neutral-atom scattering factors, no anomalous dispersion.

Crystal structure
Cell lengths 6.6612, 6.6612, 18.4467 Å; angles 90.00, 90.00, 120.00 degrees
Space group R-3c (No. 167, hexagonal axes)
Symmetry-distinct sites (fractional):
Er 0.0000 0.0000 0.0000 (multiplicity 6)
Fe 0.0000 0.0000 0.2500 (multiplicity 6)
Fe 0.0104 0.2208 0.1385 (multiplicity 36)
B 0.0000 0.3271 0.2500 (multiplicity 18)

The 10 most intense peaks (2θ from 10° to 90°), by angle:
- 4.891 Å, rel. 25, (0 1 2)
- 3.331 Å, rel. 37, (1 1 0)
- 3.074 Å, rel. 28, (0 0 6)
- 2.445 Å, rel. 64, (0 2 4)
- 2.165 Å, rel. 39, (2 1 1)
- 2.141 Å, rel. 60, (0 1 8)
- 2.122 Å, rel. 21, (1 2 2)
- 1.971 Å, rel. 100, (2 1 4)
- 1.877 Å, rel. 33, (1 2 5)
- 1.259 Å, rel. 26, (4 1 0)

=====

Computed X-ray powder pattern
Compound: Er2FeB10
Radiation: a wavelength of 1.5418 Å
Structure: a cell relaxed with GGA-PBE
Neutral-atom scattering factors, no anomalous dispersion.

Crystal structure
Cell lengths 5.556, 11.068, 4.136 Å; angles 90.00, 90.00, 90.00 degrees
Space group Pbam (No. 55)
Symmetry-distinct sites (fractional):
Er 0.218 0.128 0.000 (multiplicity 4)
Fe 0.000 0.500 0.500 (multiplicity 2)
B 0.032 0.314 0.500 (multiplicity 4)
B 0.128 0.961 0.500 (multiplicity 4)
B 0.155 0.802 0.500 (multiplicity 4)
B 0.204 0.386 0.201 (multiplicity 8)

The 10 most intense peaks (2θ from 10° to 90°), by angle:
- 4.136 Å, rel. 29, (0 0 1)
- 3.921 Å, rel. 74, (1 2 0)
- 2.845 Å, rel. 100, (1 2 1)
- 2.767 Å, rel. 18, (0 4 0)
- 2.306 Å, rel. 37, (2 0 1)
- 2.300 Å, rel. 42, (0 4 1)
- 2.068 Å, rel. 15, (0 0 2)
- 1.960 Å, rel. 23, (2 4 0)
- 1.829 Å, rel. 33, (1 2 2)
- 1.771 Å, rel. 15, (2 4 1)

=====

Computed X-ray powder pattern
Compound: ErFe22B6
Radiation: a wavelength of 1.5418 Å
Structure: a cell relaxed with GGA-PBE
Neutral-atom scattering factors, no anomalous dispersion.

Crystal structure
Cell lengths 10.687, 10.687, 10.687 Å; angles 90.00, 90.00, 90.00 degrees
Space group Fm-3m (No. 225)
Symmetry-distinct sites (fractional):
Er 0.000 0.000 0.000 (multiplicity 4)
Fe 0.000 0.175 0.175 (multiplicity 48)
Fe 0.118 0.118 0.382 (multiplicity 32)
Fe 0.250 0.250 0.250 (multiplicity 8)
B 0.000 0.000 0.273 (multiplicity 24)

The 10 most intense peaks (2θ from 10° to 90°), by angle:
- 6.170 Å, rel. 10, (1 1 1)
- 3.222 Å, rel. 15, (3 1 1)
- 3.085 Å, rel. 10, (2 2 2)
- 2.182 Å, rel. 35, (4 2 2)
- 2.057 Å, rel. 100, (3 3 3)
- 1.889 Å, rel. 26, (4 4 0)
- 1.781 Å, rel. 14, (6 0 0)
- 1.260 Å, rel. 23, (6 6 0)
- 1.234 Å, rel. 15, (5 5 5)
- 1.091 Å, rel. 14, (8 4 4)

=====

Computed X-ray powder pattern
Compound: ErFeB
Radiation: a wavelength of 1.5418 Å
Structure: a cell relaxed with GGA-PBE
Neutral-atom scattering factors, no anomalous dispersion.

Crystal structure
Cell lengths 3.5183, 3.5183, 3.9748 Å; angles 90.00, 90.00, 120.00 degrees
Space group P-6m2 (No. 187)
Symmetry-distinct sites (fractional):
Er 0.0000 0.0000 0.0000 (multiplicity 1)
Fe 0.6667 0.3333 0.5000 (multiplicity 1)
B 0.3333 0.6667 0.5000 (multiplicity 1)

The 10 most intense peaks (2θ from 10° to 90°), by angle:
- 3.975 Å, rel. 13, (0 0 1)
- 3.047 Å, rel. 43, (1 0 0)
- 2.418 Å, rel. 100, (1 0 1)
- 1.987 Å, rel. 12, (0 0 2)
- 1.759 Å, rel. 24, (1 1 0)
- 1.665 Å, rel. 15, (1 0 2)
- 1.423 Å, rel. 19, (2 0 1)
- 1.317 Å, rel. 18, (1 1 2)
- 1.215 Å, rel. 11, (1 0 3)
- 1.106 Å, rel. 17, (2 1 1)

=====

Computed X-ray powder pattern
Compound: ErFe12B4
Radiation: a wavelength of 1.5418 Å
Structure: a cell relaxed with GGA-PBE
Neutral-atom scattering factors, no anomalous dispersion.

Crystal structure
Cell lengths 7.290, 7.290, 7.290 Å; angles 90.00, 90.00, 90.00 degrees
Space group Im-3 (No. 204)
Symmetry-distinct sites (fractional):
Er 0.000 0.000 0.000 (multiplicity 2)
Fe 0.000 0.339 0.175 (multiplicity 24)
B 0.250 0.250 0.250 (multiplicity 8)

The 10 most intense peaks (2θ from 10° to 90°), by angle:
- 5.155 Å, rel. 15, (1 1 0)
- 2.976 Å, rel. 18, (2 1 1)
- 2.305 Å, rel. 100, (3 0 1)
- 2.104 Å, rel. 13, (2 2 2)
- 1.948 Å, rel. 62, (3 1 2)
- 1.488 Å, rel. 16, (4 2 2)
- 1.430 Å, rel. 26, (4 3 1)
- 1.250 Å, rel. 13, (5 3 0)
- 1.215 Å, rel. 15, (6 0 0)
- 1.183 Å, rel. 13, (5 2 3)

=====

Repeat the eleventh record exactly.
Computed X-ray powder pattern
Compound: ErFeB
Radiation: a wavelength of 1.5418 Å
Structure: a cell relaxed with GGA-PBE
Neutral-atom scattering factors, no anomalous dispersion.

Crystal structure
Cell lengths 3.5183, 3.5183, 3.9748 Å; angles 90.00, 90.00, 120.00 degrees
Space group P-6m2 (No. 187)
Symmetry-distinct sites (fractional):
Er 0.0000 0.0000 0.0000 (multiplicity 1)
Fe 0.6667 0.3333 0.5000 (multiplicity 1)
B 0.3333 0.6667 0.5000 (multiplicity 1)

The 10 most intense peaks (2θ from 10° to 90°), by angle:
- 3.975 Å, rel. 13, (0 0 1)
- 3.047 Å, rel. 43, (1 0 0)
- 2.418 Å, rel. 100, (1 0 1)
- 1.987 Å, rel. 12, (0 0 2)
- 1.759 Å, rel. 24, (1 1 0)
- 1.665 Å, rel. 15, (1 0 2)
- 1.423 Å, rel. 19, (2 0 1)
- 1.317 Å, rel. 18, (1 1 2)
- 1.215 Å, rel. 11, (1 0 3)
- 1.106 Å, rel. 17, (2 1 1)